# FeTeS
Simulated XRD peak list, copper Kα. Input: a structure optimized by DFT (GGA-PBE).

Top 8 peaks for 2θ from 5° to 70°, in order of rising 2θ:
15.2 deg, I 28.6
24.7 deg, I 60.2
24.9 deg, I 28.9
33.1 deg, I 100.0
35.4 deg, I 43.3
41.9 deg, I 35.4
48.1 deg, I 33.1
53.6 deg, I 40.5

Cell and atoms:
Cell lengths 5.153, 3.576, 5.902 Å; angles 90.00, 97.99, 90.00 degrees
Positions (direct):
Fe1 0.000 0.000 0.000
Fe2 0.500 0.500 0.500
Te1 0.234 0.000 0.655
Te2 0.766 0.000 0.345
S1 0.243 0.500 0.157
S2 0.757 0.500 0.843

=====

# TlFeS2
Simulated XRD peak list, copper Kα. Input: a structure optimized by DFT (GGA-PBE).

Top 8 peaks for 2θ from 5° to 70°, in order of rising 2θ:
11.3 deg, I 39.7
22.7 deg, I 52.8
31.2 deg, I 55.2
32.7 deg, I 45.5
35.2 deg, I 100.0
46.6 deg, I 30.7
54.5 deg, I 27.8
59.7 deg, I 22.9

Cell and atoms:
Cell lengths 3.370, 3.370, 15.700 Å; angles 90.00, 90.00, 120.00 degrees
Positions (direct):
Tl1 0.333 0.667 0.250
Tl2 0.667 0.333 0.750
Fe1 0.000 0.000 0.000
Fe2 0.000 0.000 0.500
S1 0.333 0.667 0.577
S2 0.333 0.667 0.923
S3 0.667 0.333 0.077
S4 0.667 0.333 0.423